Structure and simulated PXRD pattern of NdSm3Bi4 (a crystal structure in Alexandria, relaxed with PBE; Cu Kα, 1.54184 Å).

Crystal structure
abc: 6.4607 6.4607 6.4607
angles: 90.00 90.00 90.00
Fractional coordinates of all 8 atoms:
Nd 0.0000 0.0000 0.0000
Sm 0.0000 0.5000 0.5000
Sm 0.5000 0.0000 0.5000
Sm 0.5000 0.5000 0.0000
Bi 0.0000 0.0000 0.5000
Bi 0.0000 0.5000 0.0000
Bi 0.5000 0.0000 0.0000
Bi 0.5000 0.5000 0.5000

Most intense lines, 10 to 90 degrees two-theta, in order of rising 2θ:
| d (Å) | I/Imax |
| --- | --- |
| 3.730 | 5 |
| 3.230 | 100 |
| 2.284 | 79 |
| 1.948 | 3 |
| 1.865 | 29 |
| 1.615 | 14 |
| 1.482 | 1 |
| 1.445 | 38 |
| 1.319 | 28 |
| 1.142 | 9 |

Structure and simulated PXRD pattern of NdSm4Bi5 (a crystal structure in Alexandria, relaxed with PBE; Cu Kα, 1.54184 Å).

Crystal structure
abc: 12.0817 12.0817 12.0817
angles: 158.19 149.00 38.22
Fractional coordinates of all 10 atoms:
Nd 0.0000 0.0000 0.0000
Sm 0.2006 0.2006 0.0000
Sm 0.3999 0.3999 0.0000
Sm 0.6001 0.6001 0.0000
Sm 0.7994 0.7994 0.0000
Bi 0.1012 0.6012 0.5000
Bi 0.3002 0.8002 0.5000
Bi 0.5000 0.0000 0.5000
Bi 0.6998 0.1998 0.5000
Bi 0.8988 0.3988 0.5000

Most intense lines, 10 to 90 degrees two-theta, in order of rising 2θ:
| d (Å) | I/Imax |
| --- | --- |
| 3.730 | 5 |
| 3.230 | 100 |
| 2.284 | 79 |
| 1.948 | 3 |
| 1.865 | 29 |
| 1.615 | 14 |
| 1.444 | 38 |
| 1.319 | 28 |
| 1.143 | 2 |
| 1.142 | 8 |

Structure and simulated PXRD pattern of Nd5Sm2Bi4 (a crystal structure in Alexandria, relaxed with PBE; Cu Kα, 1.54184 Å).

Crystal structure
abc: 12.8606 12.8606 8.4622
angles: 91.52 91.52 15.90
Fractional coordinates of all 11 atoms:
Nd 0.0000 0.0000 0.0000
Nd 0.3287 0.3287 0.5045
Nd 0.3603 0.3603 0.9407
Nd 0.6397 0.6397 0.0593
Nd 0.6713 0.6713 0.4955
Sm 0.2331 0.2331 0.8225
Sm 0.7669 0.7669 0.1775
Bi 0.0997 0.0997 0.7466
Bi 0.4509 0.4509 0.6834
Bi 0.5491 0.5491 0.3166
Bi 0.9003 0.9003 0.2534

Most intense lines, 10 to 90 degrees two-theta, in order of rising 2θ:
| d (Å) | I/Imax |
| --- | --- |
| 3.249 | 100 |
| 3.048 | 30 |
| 3.006 | 97 |
| 2.957 | 100 |
| 2.769 | 63 |
| 2.744 | 57 |
| 2.605 | 88 |
| 2.214 | 59 |
| 1.769 | 40 |
| 1.524 | 36 |

Structure and simulated PXRD pattern of Tb2NdSmBi4 (a crystal structure in Alexandria, relaxed with PBE; Cu Kα, 1.54184 Å).

Crystal structure
abc: 7.8584 4.5417 7.8619
angles: 90.00 109.48 90.00
Fractional coordinates of all 8 atoms:
Tb 0.0000 0.0000 0.0000
Tb 0.0000 0.5000 0.5000
Nd 0.5000 0.0000 0.5000
Sm 0.5000 0.5000 0.0000
Bi 0.2435 0.5000 0.2463
Bi 0.2444 0.0000 0.7496
Bi 0.7556 0.0000 0.2504
Bi 0.7565 0.5000 0.7537

Most intense lines, 10 to 90 degrees two-theta, in order of rising 2θ:
| d (Å) | I/Imax |
| --- | --- |
| 3.706 | 4 |
| 3.210 | 100 |
| 2.270 | 78 |
| 1.936 | 2 |
| 1.853 | 29 |
| 1.605 | 14 |
| 1.473 | 1 |
| 1.435 | 37 |
| 1.310 | 28 |
| 1.135 | 9 |

Structure and simulated PXRD pattern of NdSmTh2Bi5 (a crystal structure in Alexandria, relaxed with PBE; Cu Kα, 1.54184 Å).

Crystal structure
abc: 5.4886 5.4886 11.9211
angles: 90.00 90.00 90.00
Fractional coordinates of all 9 atoms:
Nd 0.0000 0.0000 0.0000
Sm 0.0000 0.0000 0.5000
Th 0.5000 0.5000 0.3026
Th 0.5000 0.5000 0.6974
Bi 0.0000 0.0000 0.2493
Bi 0.0000 0.0000 0.7507
Bi 0.0000 0.5000 0.5000
Bi 0.5000 0.0000 0.5000
Bi 0.5000 0.5000 0.0000

Most intense lines, 10 to 90 degrees two-theta, in order of rising 2θ:
| d (Å) | I/Imax |
| --- | --- |
| 3.881 | 69 |
| 3.690 | 30 |
| 3.252 | 45 |
| 3.219 | 33 |
| 2.980 | 41 |
| 2.776 | 63 |
| 2.744 | 100 |
| 2.019 | 55 |
| 1.941 | 37 |
| 1.626 | 32 |

Structure and simulated PXRD pattern of Nd5SnBi5 (a crystal structure in Alexandria, relaxed with PBE; Cu Kα, 1.54184 Å).

Crystal structure
abc: 7.8962 7.8962 9.1258
angles: 107.08 107.08 48.06
Fractional coordinates of all 11 atoms:
Nd 0.0000 0.0000 0.0000
Nd 0.3296 0.3296 0.1630
Nd 0.3322 0.3322 0.6675
Nd 0.6678 0.6678 0.3325
Nd 0.6704 0.6704 0.8370
Sn 0.5000 0.5000 0.0000
Bi 0.1568 0.1568 0.8161
Bi 0.1628 0.1628 0.3390
Bi 0.5000 0.5000 0.5000
Bi 0.8372 0.8372 0.6610
Bi 0.8432 0.8432 0.1839

Most intense lines, 10 to 90 degrees two-theta, in order of rising 2θ:
| d (Å) | I/Imax |
| --- | --- |
| 3.719 | 14 |
| 3.232 | 51 |
| 3.215 | 100 |
| 2.279 | 78 |
| 2.273 | 39 |
| 1.859 | 42 |
| 1.444 | 14 |
| 1.440 | 14 |
| 1.438 | 22 |
| 1.314 | 20 |

Structure and simulated PXRD pattern of Sr5NdBi5 (a crystal structure in Alexandria, relaxed with PBE; Cu Kα, 1.54184 Å).

Crystal structure
abc: 8.5612 8.5612 9.3826
angles: 106.30 106.30 46.05
Fractional coordinates of all 11 atoms:
Sr 0.0000 0.0000 0.0000
Sr 0.3166 0.3166 0.1763
Sr 0.3226 0.3226 0.6470
Sr 0.6774 0.6774 0.3530
Sr 0.6834 0.6834 0.8237
Nd 0.0000 0.0000 0.5000
Bi 0.1503 0.1503 0.3296
Bi 0.1596 0.1596 0.8265
Bi 0.5000 0.5000 0.5000
Bi 0.8404 0.8404 0.1735
Bi 0.8497 0.8497 0.6704

Most intense lines, 10 to 90 degrees two-theta, in order of rising 2θ:
| d (Å) | I/Imax |
| --- | --- |
| 6.116 | 35 |
| 3.435 | 99 |
| 3.409 | 100 |
| 3.349 | 99 |
| 2.501 | 40 |
| 2.398 | 76 |
| 2.389 | 77 |
| 2.346 | 37 |
| 2.004 | 40 |
| 1.921 | 41 |

Structure and simulated PXRD pattern of SrNd5Bi4 (a crystal structure in Alexandria, relaxed with PBE; Cu Kα, 1.54184 Å).

Crystal structure
abc: 10.8362 11.1068 6.3127
angles: 90.00 90.00 90.00
Fractional coordinates of all 20 atoms:
Sr 0.2500 0.2500 0.0000
Sr 0.7500 0.7500 0.0000
Nd 0.9999 0.0001 0.2550
Nd 0.0001 0.9999 0.7450
Nd 0.9999 0.4999 0.2550
Nd 0.0001 0.5001 0.7450
Nd 0.2500 0.7500 0.4979
Nd 0.5001 0.0001 0.2550
Nd 0.4999 0.9999 0.7450
Nd 0.5001 0.4999 0.2550
Nd 0.4999 0.5001 0.7450
Nd 0.7500 0.2500 0.5021
Bi 0.0620 0.2500 0.5002
Bi 0.2500 0.5813 0.0002
Bi 0.2500 0.9187 0.0002
Bi 0.4380 0.2500 0.5002
Bi 0.5620 0.7500 0.4998
Bi 0.7500 0.0813 0.9998
Bi 0.7500 0.4187 0.9998
Bi 0.9380 0.7500 0.4998

Most intense lines, 10 to 90 degrees two-theta, in order of rising 2θ:
| d (Å) | I/Imax |
| --- | --- |
| 4.170 | 87 |
| 4.111 | 85 |
| 3.435 | 50 |
| 3.063 | 44 |
| 2.777 | 38 |
| 2.744 | 70 |
| 2.727 | 59 |
| 2.709 | 50 |
| 2.448 | 74 |
| 2.393 | 100 |